For K3HfV2O8, DFT lattice parameters and positions (PBE+U) gives the calculated X-ray diffraction stick pattern in this record (Cu Ka).

abc: 5.8598 5.8598 7.6128
angles: 90.00 90.00 120.00
Space group P-3m1 (No. 164)
Unique sites:
K (0.0000, 0.0000, 0.0000)
K (0.3333, 0.6667, 0.6903)
Hf (0.0000, 0.0000, 0.5000)
V (0.3333, 0.6667, 0.2527)
O (0.1675, 0.3351, 0.3401)
O (0.3333, 0.6667, 0.0312)

Principal peaks in the range 10 to 90 degrees two-theta, most intense first:
- (0 1 2), 29.33°, d = 3.045 Å, rel. 100
- (1 1 0), 30.51°, d = 2.930 Å, rel. 95
- (1 0 1), 21.04°, d = 4.223 Å, rel. 70
- (0 0 1), 11.62°, d = 7.613 Å, rel. 66
- (2 0 2), 42.83°, d = 2.111 Å, rel. 49
- (1 2 2), 53.50°, d = 1.713 Å, rel. 36
- (1 0 0), 17.48°, d = 5.075 Å, rel. 33
- (1 1 4), 57.77°, d = 1.596 Å, rel. 24
- (0 1 3), 39.71°, d = 2.270 Å, rel. 18
- (3 0 0), 54.23°, d = 1.692 Å, rel. 17